Entry 1:
# La5Nd12Tm2
Calculated PXRD pattern, Cu Kα (weighted mean of Kα1 and Kα2). Input: the PBE geometry in Alexandria.
Intensities are scaled so that the largest is 100.

Peak list (10 most intense, 5 to 70 degrees two-theta, low angle first)
2θ = 30.00°, I = 100; 2θ = 34.02°, I = 19; 2θ = 34.19°, I = 17; 2θ = 36.10°, I = 14; 2θ = 49.01°, I = 13; 2θ = 50.45°, I = 12; 2θ = 58.43°, I = 15; 2θ = 58.65°, I = 13; 2θ = 61.19°, I = 11; 2θ = 62.36°, I = 12

abc: 13.755 13.755 13.755
angles: 157.91 135.17 50.52
Fractional positions:
La (0.000, 0.000, 0.000)
La (0.198, 0.198, 0.000)
La (0.302, 0.802, 0.500)
La (0.698, 0.198, 0.500)
La (0.802, 0.802, 0.000)
Nd (0.060, 0.304, 0.756)
Nd (0.100, 0.600, 0.500)
Nd (0.166, 0.907, 0.259)
Nd (0.352, 0.093, 0.259)
Nd (0.410, 0.410, 0.000)
Nd (0.451, 0.696, 0.756)
Nd (0.549, 0.304, 0.244)
Nd (0.590, 0.590, 0.000)
Nd (0.648, 0.907, 0.741)
Nd (0.834, 0.093, 0.741)
Nd (0.900, 0.400, 0.500)
Nd (0.940, 0.696, 0.244)
Tm (0.226, 0.500, 0.726)
Tm (0.774, 0.500, 0.274)



Entry 2:
# La2Nd5Tm12
Calculated PXRD pattern, Cu Kα (weighted mean of Kα1 and Kα2). Input: the PBE geometry in Alexandria.
Intensities are scaled so that the largest is 100.

Peak list (10 most intense, 5 to 70 degrees two-theta, low angle first)
2θ = 29.66°, I = 34; 2θ = 30.13°, I = 18; 2θ = 31.09°, I = 61; 2θ = 31.74°, I = 100; 2θ = 32.63°, I = 45; 2θ = 32.97°, I = 29; 2θ = 33.13°, I = 45; 2θ = 49.07°, I = 16; 2θ = 59.54°, I = 15; 2θ = 61.26°, I = 14

abc: 6.306 8.868 11.979
angles: 71.61 78.46 76.85
Fractional positions:
La (0.231, 0.464, 0.435)
La (0.769, 0.536, 0.565)
Nd (0.000, 0.000, 0.000)
Nd (0.224, 0.330, 0.011)
Nd (0.353, 0.844, 0.498)
Nd (0.647, 0.156, 0.502)
Nd (0.776, 0.670, 0.989)
Tm (0.079, 0.124, 0.673)
Tm (0.147, 0.203, 0.318)
Tm (0.252, 0.450, 0.711)
Tm (0.254, 0.617, 0.142)
Tm (0.327, 0.733, 0.827)
Tm (0.462, 0.934, 0.168)
Tm (0.538, 0.066, 0.832)
Tm (0.673, 0.267, 0.173)
Tm (0.746, 0.383, 0.858)
Tm (0.748, 0.550, 0.289)
Tm (0.853, 0.797, 0.682)
Tm (0.921, 0.876, 0.327)



What did the first record say?
# La5Nd12Tm2
Calculated PXRD pattern, Cu Kα (weighted mean of Kα1 and Kα2). Input: the PBE geometry in Alexandria.
Intensities are scaled so that the largest is 100.

Peak list (10 most intense, 5 to 70 degrees two-theta, low angle first)
2θ = 30.00°, I = 100; 2θ = 34.02°, I = 19; 2θ = 34.19°, I = 17; 2θ = 36.10°, I = 14; 2θ = 49.01°, I = 13; 2θ = 50.45°, I = 12; 2θ = 58.43°, I = 15; 2θ = 58.65°, I = 13; 2θ = 61.19°, I = 11; 2θ = 62.36°, I = 12

abc: 13.755 13.755 13.755
angles: 157.91 135.17 50.52
Fractional positions:
La (0.000, 0.000, 0.000)
La (0.198, 0.198, 0.000)
La (0.302, 0.802, 0.500)
La (0.698, 0.198, 0.500)
La (0.802, 0.802, 0.000)
Nd (0.060, 0.304, 0.756)
Nd (0.100, 0.600, 0.500)
Nd (0.166, 0.907, 0.259)
Nd (0.352, 0.093, 0.259)
Nd (0.410, 0.410, 0.000)
Nd (0.451, 0.696, 0.756)
Nd (0.549, 0.304, 0.244)
Nd (0.590, 0.590, 0.000)
Nd (0.648, 0.907, 0.741)
Nd (0.834, 0.093, 0.741)
Nd (0.900, 0.400, 0.500)
Nd (0.940, 0.696, 0.244)
Tm (0.226, 0.500, 0.726)
Tm (0.774, 0.500, 0.274)